Theoretical powder X-ray diffraction pattern
Compound: Hf9Zr4Al11
Radiation: Cu Kα (λ = 1.5418 Å)
Structure: a DFT-relaxed cell (PBE, Alexandria)
Intensities are scaled so that the largest is 100.

Structure:
```
Hf9Zr4Al11
1.0
8.510 -9.074 0.000
8.510 9.074 0.000
0.000 0.000 3.002
Hf Zr Al
9 4 11
direct
0.000 0.000 0.000
0.126 0.632 0.000
0.294 0.465 0.000
0.368 0.874 0.000
0.465 0.294 0.000
0.535 0.706 0.000
0.632 0.126 0.000
0.706 0.535 0.000
0.874 0.368 0.000
0.058 0.228 0.000
0.228 0.058 0.000
0.772 0.942 0.000
0.942 0.772 0.000
0.084 0.429 0.500
0.147 0.853 0.500
0.261 0.261 0.500
0.331 0.669 0.500
0.429 0.084 0.500
0.500 0.500 0.500
0.571 0.916 0.500
0.669 0.331 0.500
0.739 0.739 0.500
0.853 0.147 0.500
0.916 0.571 0.500
```

Top 10 peaks for 15 to 90 degrees two-theta, sorted by position:
2θ 20.88, rel. 68; 2θ 29.53, rel. 32; 2θ 29.76, rel. 49; 2θ 36.44, rel. 100; 2θ 36.63, rel. 71; 2θ 42.45, rel. 78; 2θ 47.73, rel. 52; 2θ 52.73, rel. 17; 2θ 61.60, rel. 26; 2θ 73.91, rel. 32

Theoretical powder X-ray diffraction pattern
Compound: Hf3ZrAl
Radiation: Cu Kα (λ = 1.5418 Å)
Structure: a DFT-relaxed cell (PBE, Alexandria)
Intensities are scaled so that the largest is 100.

Structure:
```
Hf3ZrAl
1.0
5.400 0.000 0.000
0.000 8.316 0.000
-1.311 0.000 4.945
Hf Zr Al
6 2 2
direct
0.000 0.111 0.250
0.000 0.889 0.750
0.224 0.404 0.624
0.224 0.596 0.124
0.776 0.404 0.876
0.776 0.596 0.376
0.500 0.087 0.750
0.500 0.913 0.250
0.500 0.282 0.250
0.500 0.718 0.750
```

Top 10 peaks for 15 to 90 degrees two-theta, sorted by position:
2θ 23.91, rel. 60; 2θ 28.04, rel. 62; 2θ 35.37, rel. 100; 2θ 36.05, rel. 91; 2θ 36.20, rel. 24; 2θ 37.63, rel. 35; 2θ 39.04, rel. 58; 2θ 43.52, rel. 25; 2θ 66.68, rel. 20; 2θ 70.53, rel. 20

Theoretical powder X-ray diffraction pattern
Compound: Hf2Zr3Al
Radiation: Cu Kα (λ = 1.5418 Å)
Structure: a DFT-relaxed cell (PBE, Alexandria)
Intensities are scaled so that the largest is 100.

Structure:
```
Hf2Zr3Al
1.0
5.764 0.000 0.000
0.000 6.143 0.000
-1.781 0.000 7.490
Hf Zr Al
4 6 2
direct
0.090 0.003 0.319
0.090 0.497 0.319
0.910 0.503 0.681
0.910 0.997 0.681
0.279 0.750 0.000
0.378 0.250 0.653
0.394 0.750 0.656
0.606 0.250 0.344
0.622 0.750 0.347
0.721 0.250 0.000
0.213 0.250 0.001
0.787 0.750 0.999
```

Top 10 peaks for 15 to 90 degrees two-theta, sorted by position:
2θ 15.80, rel. 19; 2θ 33.26, rel. 64; 2θ 35.27, rel. 54; 2θ 35.97, rel. 53; 2θ 36.71, rel. 100; 2θ 37.88, rel. 17; 2θ 38.95, rel. 49; 2θ 46.78, rel. 21; 2θ 52.68, rel. 18; 2θ 68.20, rel. 17

Theoretical powder X-ray diffraction pattern
Compound: Hf7Zr12Al
Radiation: Cu Kα (λ = 1.5418 Å)
Structure: a DFT-relaxed cell (PBE, Alexandria)
Intensities are scaled so that the largest is 100.

Structure:
```
Hf7Zr12Al
1.0
5.437 3.139 4.479
-5.437 3.139 4.479
0.000 -6.278 4.479
Hf Zr Al
7 12 1
direct
0.000 0.000 0.000
0.119 0.442 0.352
0.352 0.119 0.442
0.442 0.352 0.119
0.558 0.648 0.881
0.648 0.881 0.558
0.881 0.558 0.648
0.006 0.866 0.356
0.134 0.644 0.994
0.232 0.380 0.764
0.236 0.768 0.620
0.356 0.006 0.866
0.380 0.764 0.232
0.620 0.236 0.768
0.644 0.994 0.134
0.764 0.232 0.380
0.768 0.620 0.236
0.866 0.356 0.006
0.994 0.134 0.644
0.500 0.500 0.500
```

Top 10 peaks for 15 to 90 degrees two-theta, sorted by position:
2θ 19.82, rel. 15; 2θ 25.77, rel. 18; 2θ 34.72, rel. 17; 2θ 34.98, rel. 100; 2θ 36.79, rel. 38; 2θ 36.92, rel. 47; 2θ 38.58, rel. 15; 2θ 61.22, rel. 9; 2θ 61.49, rel. 12; 2θ 65.30, rel. 15

Theoretical powder X-ray diffraction pattern
Compound: Hf5ZrAl2
Radiation: Cu Kα (λ = 1.5418 Å)
Structure: a DFT-relaxed cell (PBE, Alexandria)
Intensities are scaled so that the largest is 100.

Structure:
```
Hf5ZrAl2
1.0
6.141 0.000 0.000
0.000 12.281 0.000
0.000 0.000 4.339
Hf Zr Al
10 2 4
direct
0.000 0.000 0.000
0.001 0.249 0.000
0.248 0.874 0.500
0.252 0.374 0.500
0.499 0.749 0.000
0.500 0.500 0.000
0.501 0.251 0.000
0.748 0.626 0.500
0.752 0.126 0.500
0.999 0.751 0.000
0.000 0.500 0.000
0.500 0.000 0.000
0.249 0.126 0.500
0.251 0.626 0.500
0.749 0.374 0.500
0.751 0.874 0.500
```

Top 10 peaks for 15 to 90 degrees two-theta, sorted by position:
2θ 20.46, rel. 21; 2θ 29.09, rel. 18; 2θ 35.83, rel. 100; 2θ 41.61, rel. 50; 2θ 46.79, rel. 10; 2θ 51.56, rel. 8; 2θ 60.30, rel. 33; 2θ 64.38, rel. 5; 2θ 72.17, rel. 39; 2θ 75.93, rel. 11

Theoretical powder X-ray diffraction pattern
Compound: Hf2ZrAl6
Radiation: Cu Kα (λ = 1.5418 Å)
Structure: a DFT-relaxed cell (PBE, Alexandria)
Intensities are scaled so that the largest is 100.

Structure:
```
Hf2ZrAl6
1.0
-2.065 3.240 6.652
2.065 -3.240 6.652
2.065 3.240 -6.652
Hf Zr Al
2 1 6
direct
0.116 0.116 0.000
0.884 0.884 0.000
0.500 0.000 0.500
0.106 0.311 0.795
0.200 0.500 0.700
0.484 0.689 0.795
0.516 0.311 0.205
0.800 0.500 0.300
0.894 0.689 0.205
```

Top 10 peaks for 15 to 90 degrees two-theta, sorted by position:
2θ 15.21, rel. 63; 2θ 22.55, rel. 58; 2θ 24.32, rel. 45; 2θ 25.58, rel. 46; 2θ 27.53, rel. 25; 2θ 35.87, rel. 100; 2θ 36.50, rel. 44; 2θ 37.39, rel. 96; 2θ 40.32, rel. 27; 2θ 43.85, rel. 28

Theoretical powder X-ray diffraction pattern
Compound: Hf3Zr3Al2
Radiation: Cu Kα (λ = 1.5418 Å)
Structure: a DFT-relaxed cell (PBE, Alexandria)
Intensities are scaled so that the largest is 100.

Structure:
```
Hf3Zr3Al2
1.0
3.902 2.253 3.185
-3.902 2.253 3.185
0.000 -4.505 3.185
Hf Zr Al
3 3 2
direct
0.000 0.751 0.249
0.249 0.000 0.751
0.751 0.249 0.000
0.249 0.500 0.751
0.500 0.751 0.249
0.751 0.249 0.500
0.249 0.249 0.249
0.751 0.751 0.751
```

Top 10 peaks for 15 to 90 degrees two-theta, sorted by position:
2θ 22.79, rel. 33; 2θ 32.46, rel. 12; 2θ 36.41, rel. 100; 2θ 40.03, rel. 31; 2θ 52.45, rel. 7; 2θ 57.90, rel. 17; 2θ 60.50, rel. 23; 2θ 63.04, rel. 16; 2θ 67.96, rel. 10; 2θ 79.63, rel. 21

Theoretical powder X-ray diffraction pattern
Compound: Hf4Zr2Al
Radiation: Cu Kα (λ = 1.5418 Å)
Structure: a DFT-relaxed cell (PBE, Alexandria)
Intensities are scaled so that the largest is 100.

Structure:
```
Hf4Zr2Al
1.0
-3.246 3.246 7.779
3.246 -3.246 7.779
3.246 3.246 -7.779
Hf Zr Al
8 4 2
direct
0.009 0.509 0.188
0.179 0.991 0.500
0.321 0.821 0.812
0.491 0.679 0.500
0.509 0.321 0.500
0.679 0.179 0.188
0.821 0.009 0.500
0.991 0.491 0.812
0.150 0.350 0.500
0.350 0.850 0.200
0.650 0.150 0.800
0.850 0.650 0.500
0.250 0.250 0.000
0.750 0.750 0.000
```

Top 10 peaks for 15 to 90 degrees two-theta, sorted by position:
2θ 19.34, rel. 16; 2θ 27.48, rel. 9; 2θ 34.59, rel. 21; 2θ 35.43, rel. 100; 2θ 44.12, rel. 15; 2θ 57.24, rel. 11; 2θ 61.56, rel. 11; 2θ 62.53, rel. 19; 2θ 71.61, rel. 10; 2θ 82.08, rel. 13